Calculated PXRD pattern
Compound: PrCl3
Radiation: CuKα
Structure: a GGA-PBE-relaxed structure
Intensities are scaled so that the largest is 100.

Structural model:
Unit cell a=7.5543 b=7.5543 c=4.3114 alpha=90.00 beta=90.00 gamma=120.00
Space group P6_3/m (No. 176)
Inequivalent atoms, fractional coordinates:
Pr (0.3333, 0.6667, 0.2500) [2 per cell]
Cl (0.0860, 0.3912, 0.7500) [6 per cell]

The 10 most intense peaks (10° ≤ 2θ ≤ 80°), sorted by position:
- (1 0 0), d = 6.542 Å, I 100
- (1 1 0), d = 3.777 Å, I 41
- (1 0 1), d = 3.600 Å, I 63
- (1 1 1), d = 2.841 Å, I 23
- (2 0 1), d = 2.606 Å, I 88
- (3 0 0), d = 2.181 Å, I 33
- (0 0 2), d = 2.156 Å, I 18
- (2 1 1), d = 2.145 Å, I 74
- (3 0 2), d = 1.533 Å, I 21
- (2 3 1), d = 1.417 Å, I 26



Calculated PXRD pattern
Compound: Rb2PrCl5
Radiation: CuKα
Structure: a GGA-PBE-relaxed structure
Intensities are scaled so that the largest is 100.

Structural model:
Unit cell a=13.4721 b=9.0228 c=8.3919 alpha=90.00 beta=90.00 gamma=90.00
Space group Pnma (No. 62)
Inequivalent atoms, fractional coordinates:
Rb (0.1708, 0.0062, 0.0577) [8 per cell]
Pr (0.0049, 0.2500, 0.5715) [4 per cell]
Cl (0.0104, 0.2500, 0.9068) [4 per cell]
Cl (0.0708, 0.5422, 0.6619) [8 per cell]
Cl (0.1771, 0.2500, 0.3850) [4 per cell]
Cl (0.1970, 0.7500, 0.3476) [4 per cell]

The 10 most intense peaks (10° ≤ 2θ ≤ 80°), sorted by position:
- (1 0 1), d = 7.123 Å, I 44
- (3 0 1), d = 3.959 Å, I 100
- (1 2 1), d = 3.811 Å, I 98
- (2 2 0), d = 3.748 Å, I 57
- (1 2 2), d = 2.996 Å, I 72
- (2 2 2), d = 2.795 Å, I 65
- (4 2 0), d = 2.699 Å, I 50
- (0 4 0), d = 2.256 Å, I 46
- (5 2 1), d = 2.230 Å, I 57
- (3 4 1), d = 1.960 Å, I 47



Calculated PXRD pattern
Compound: Rb3PrCl6
Radiation: CuKα
Structure: a GGA-PBE-relaxed structure
Intensities are scaled so that the largest is 100.

Structural model:
Unit cell a=11.7495 b=11.7495 c=11.7495 alpha=90.00 beta=90.00 gamma=90.00
Space group Fm-3m (No. 225)
Inequivalent atoms, fractional coordinates:
Rb (0.0000, 0.0000, 0.0000) [4 per cell]
Rb (0.2500, 0.2500, 0.2500) [8 per cell]
Pr (0.0000, 0.0000, 0.5000) [4 per cell]
Cl (0.0000, 0.0000, 0.2659) [24 per cell]

The 10 most intense peaks (10° ≤ 2θ ≤ 80°), sorted by position:
- (2 0 0), d = 5.875 Å, I 19
- (2 2 0), d = 4.154 Å, I 100
- (4 0 0), d = 2.937 Å, I 72
- (4 2 2), d = 2.398 Å, I 47
- (4 4 0), d = 2.077 Å, I 50
- (6 2 0), d = 1.858 Å, I 24
- (4 4 4), d = 1.696 Å, I 17
- (6 4 2), d = 1.570 Å, I 27
- (6 6 0), d = 1.385 Å, I 13
- (8 4 0), d = 1.314 Å, I 20



Calculated PXRD pattern
Compound: Pr7S6Cl9
Radiation: CuKα
Structure: a GGA-PBE-relaxed structure
Intensities are scaled so that the largest is 100.

Structural model:
Unit cell a=24.6861 b=6.7754 c=7.0688 alpha=90.00 beta=97.77 gamma=90.00
Space group P2/c (No. 13)
Inequivalent atoms, fractional coordinates:
Pr (0.0000, 0.2118, 0.2500) [2 per cell]
Pr (0.1433, 0.1950, 0.8761) [4 per cell]
Pr (0.2846, 0.1962, 0.3635) [4 per cell]
Pr (0.4215, 0.2165, 0.0076) [4 per cell]
S (0.0720, 0.0356, 0.5738) [4 per cell]
S (0.2180, 0.0520, 0.6178) [4 per cell]
S (0.3606, 0.0536, 0.6886) [4 per cell]
Cl (0.0590, 0.4520, 0.9395) [4 per cell]
Cl (0.1881, 0.4290, 0.2338) [4 per cell]
Cl (0.3187, 0.4120, 0.0290) [4 per cell]
Cl (0.4415, 0.3947, 0.3768) [4 per cell]
Cl (0.5000, 0.0556, 0.7500) [2 per cell]

The 10 most intense peaks (10° ≤ 2θ ≤ 80°), sorted by position:
- (3 1 1), d = 4.018 Å, I 100
- (4 1 -1), d = 3.997 Å, I 90
- (1 0 -2), d = 3.534 Å, I 20
- (7 0 0), d = 3.494 Å, I 25
- (4 2 -1), d = 2.799 Å, I 51
- (6 0 2), d = 2.495 Å, I 26
- (8 0 -2), d = 2.475 Å, I 23
- (1 2 -2), d = 2.446 Å, I 30
- (7 2 0), d = 2.432 Å, I 41
- (10 1 1), d = 2.108 Å, I 21



Calculated PXRD pattern
Compound: Pr3Si2S8Cl
Radiation: CuKα
Structure: a GGA-PBE-relaxed structure
Intensities are scaled so that the largest is 100.

Structural model:
Unit cell a=15.8209 b=7.7386 c=11.0511 alpha=90.00 beta=97.67 gamma=90.00
Space group C2/c (No. 15)
Inequivalent atoms, fractional coordinates:
Pr (0.0000, 0.1220, 0.2500) [4 per cell]
Pr (0.1956, 0.3775, 0.6855) [8 per cell]
Si (0.1598, 0.0323, 0.0292) [8 per cell]
S (0.0659, 0.1575, 0.5490) [8 per cell]
S (0.1462, 0.2500, 0.1421) [8 per cell]
S (0.1474, 0.0896, 0.8394) [8 per cell]
S (0.2162, 0.4272, 0.4146) [8 per cell]
Cl (0.0000, 0.4932, 0.2500) [4 per cell]

The 10 most intense peaks (10° ≤ 2θ ≤ 80°), sorted by position:
- (0 0 2), d = 5.476 Å, I 86
- (3 1 -1), d = 4.187 Å, I 60
- (3 1 1), d = 3.883 Å, I 69
- (0 2 1), d = 3.648 Å, I 82
- (4 2 -1), d = 2.732 Å, I 88
- (3 1 3), d = 2.653 Å, I 100
- (1 1 -4), d = 2.600 Å, I 62
- (4 0 -4), d = 2.400 Å, I 43
- (4 2 -3), d = 2.305 Å, I 49
- (3 3 1), d = 2.237 Å, I 45



Calculated PXRD pattern
Compound: Pt3Cl
Radiation: CuKα
Structure: a GGA-PBE-relaxed structure
Intensities are scaled so that the largest is 100.

Structural model:
Unit cell a=6.4008 b=6.4008 c=6.4008 alpha=90.00 beta=90.00 gamma=90.00
Space group Fm-3m (No. 225)
Inequivalent atoms, fractional coordinates:
Pt (0.0000, 0.0000, 0.0000) [4 per cell]
Pt (0.2500, 0.2500, 0.2500) [8 per cell]
Cl (0.0000, 0.0000, 0.5000) [4 per cell]

The 10 most intense peaks (10° ≤ 2θ ≤ 80°), sorted by position:
- (1 1 1), d = 3.696 Å, I 15
- (2 0 0), d = 3.200 Å, I 8
- (2 2 0), d = 2.263 Å, I 100
- (3 1 1), d = 1.930 Å, I 8
- (2 2 2), d = 1.848 Å, I 2
- (4 0 0), d = 1.600 Å, I 17
- (3 3 1), d = 1.468 Å, I 4
- (4 2 0), d = 1.431 Å, I 3
- (4 2 2), d = 1.307 Å, I 35
- (5 1 1), d = 1.232 Å, I 3



Calculated PXRD pattern
Compound: PtCl4
Radiation: CuKα
Structure: a GGA-PBE-relaxed structure
Intensities are scaled so that the largest is 100.

Structural model:
Unit cell a=11.4848 b=11.4848 c=11.4848 alpha=90.00 beta=90.00 gamma=90.00
Space group Pa-3 (No. 205)
Inequivalent atoms, fractional coordinates:
Pt (0.1239, 0.1239, 0.1239) [8 per cell]
Cl (0.0120, 0.2492, 0.0200) [24 per cell]
Cl (0.2379, 0.2379, 0.2379) [8 per cell]

The 10 most intense peaks (10° ≤ 2θ ≤ 80°), sorted by position:
- (1 1 1), d = 6.631 Å, I 26
- (2 1 0), d = 5.136 Å, I 100
- (2 1 1), d = 4.689 Å, I 84
- (2 2 2), d = 3.315 Å, I 22
- (3 0 2), d = 3.185 Å, I 24
- (3 2 1), d = 3.069 Å, I 40
- (4 2 1), d = 2.506 Å, I 24
- (4 2 3), d = 2.133 Å, I 28
- (4 4 0), d = 2.030 Å, I 41
- (5 3 2), d = 1.863 Å, I 17



Calculated PXRD pattern
Compound: PtS2Cl8
Radiation: CuKα
Structure: a GGA-PBE-relaxed structure
Intensities are scaled so that the largest is 100.

Structural model:
Unit cell a=6.7649 b=7.4916 c=13.0442 alpha=90.00 beta=100.47 gamma=90.00
Space group P2_1/c (No. 14)
Inequivalent atoms, fractional coordinates:
Pt (0.0000, 0.0000, 0.0000) [2 per cell]
S (0.2811, 0.1951, 0.0186) [4 per cell]
Cl (0.1567, 0.5969, 0.3630) [4 per cell]
Cl (0.2125, 0.1061, 0.4135) [4 per cell]
Cl (0.2445, 0.6535, 0.6188) [4 per cell]
Cl (0.2953, 0.1728, 0.6545) [4 per cell]

The 10 most intense peaks (10° ≤ 2θ ≤ 80°), sorted by position:
- (1 0 0), d = 6.652 Å, I 54
- (0 1 1), d = 6.469 Å, I 100
- (0 0 2), d = 6.414 Å, I 74
- (1 0 -2), d = 5.104 Å, I 30
- (1 1 -1), d = 4.866 Å, I 44
- (1 1 1), d = 4.439 Å, I 40
- (1 2 0), d = 3.264 Å, I 23
- (1 2 -1), d = 3.233 Å, I 25
- (1 2 2), d = 2.810 Å, I 28
- (2 2 0), d = 2.488 Å, I 25